(1)
Diffraction record for La4Tb15Er. The powder X-ray diffraction pattern is calculated, not measured: it uses a DFT-relaxed cell (PBE, Alexandria) and a wavelength of 1.5418 Å.

Crystal structure
a = 5.097 Å, b = 5.097 Å, c = 25.374 Å
α = 90.00°, β = 90.00°, γ = 90.00°
Space group P4/mmm (No. 123)
Symmetry-distinct sites (fractional):
La 0.000 0.000 0.101 [2 per cell]
La 0.000 0.000 0.301 [2 per cell]
Tb 0.000 0.500 0.000 [2 per cell]
Tb 0.000 0.500 0.202 [4 per cell]
Tb 0.000 0.500 0.403 [4 per cell]
Tb 0.500 0.500 0.101 [2 per cell]
Tb 0.500 0.500 0.302 [2 per cell]
Tb 0.500 0.500 0.500 [1 per cell]
Er 0.000 0.000 0.500 [1 per cell]

Top 8 peaks for 5° ≤ 2θ ≤ 70°, low angle first:
2.938 Å, intensity 100, hkl 1 1 5
2.548 Å, intensity 34, hkl 2 0 0
2.537 Å, intensity 17, hkl 0 0 10
1.802 Å, intensity 12, hkl 2 2 0
1.798 Å, intensity 24, hkl 2 0 10
1.536 Å, intensity 29, hkl 3 1 5
1.531 Å, intensity 14, hkl 1 1 15
1.469 Å, intensity 12, hkl 2 2 10

=====

(2)
Diffraction record for LaTb3Er2Te6. The powder X-ray diffraction pattern is calculated, not measured: it uses a DFT-relaxed cell (PBE, Alexandria) and a wavelength of 1.5418 Å.

Crystal structure
a = 19.119 Å, b = 4.366 Å, c = 8.835 Å
α = 90.00°, β = 102.94°, γ = 90.00°
Space group C2/m (No. 12)
Symmetry-distinct sites (fractional):
La 0.000 0.000 0.000 [2 per cell]
Tb 0.000 0.000 0.500 [2 per cell]
Tb 0.160 0.500 0.832 [4 per cell]
Er 0.165 0.500 0.330 [4 per cell]
Te 0.004 0.500 0.262 [4 per cell]
Te 0.169 0.000 0.581 [4 per cell]
Te 0.173 0.000 0.090 [4 per cell]

Top 12 peaks for 5° ≤ 2θ ≤ 70°, low angle first:
3.105 Å, intensity 100, hkl 1 1 -2
2.209 Å, intensity 13, hkl 2 0 -4
2.202 Å, intensity 25, hkl 5 1 2
2.190 Å, intensity 25, hkl 7 1 -2
2.183 Å, intensity 13, hkl 0 2 0
1.806 Å, intensity 7, hkl 4 0 4
1.794 Å, intensity 7, hkl 8 0 -4
1.786 Å, intensity 13, hkl 6 2 0
1.553 Å, intensity 12, hkl 2 2 -4
1.392 Å, intensity 11, hkl 4 2 4
1.386 Å, intensity 11, hkl 8 2 -4
1.382 Å, intensity 6, hkl 1 3 -2